No. 1
Starting from a DFT-relaxed cell (GGA-PBE, Alexandria), the powder diffraction line list of MgH2 was calculated for CuKα.
Peak positions follow from Bragg's law for the DFT cell and can differ from measured ones.

Main lines, by intensity (5 to 70 degrees two-theta):
2theta  intensity
32.42  100
37.61  48
64.62  40
54.24  35
67.88  11

Atomic structure:
Unit cell a=4.7834 b=4.7834 c=4.7834 alpha=90.00 beta=90.00 gamma=90.00
Atoms (fractional coordinates):
Mg 0.0000 0.0000 0.0000
Mg 0.0000 0.5000 0.5000
Mg 0.5000 0.0000 0.5000
Mg 0.5000 0.5000 0.0000
H 0.1531 0.6531 0.8469
H 0.1531 0.8469 0.3469
H 0.3469 0.1531 0.8469
H 0.3469 0.3469 0.3469
H 0.6531 0.6531 0.6531
H 0.6531 0.8469 0.1531
H 0.8469 0.1531 0.6531
H 0.8469 0.3469 0.1531

No. 2
Starting from a DFT-relaxed cell (GGA-PBE, Alexandria), the powder diffraction line list of Tb2Si3 was calculated for CuKα.
Peak positions follow from Bragg's law for the DFT cell and can differ from measured ones.

Main lines, by intensity (5 to 70 degrees two-theta):
2theta  intensity
33.11  100
26.78  63
33.43  60
51.90  42
21.70  29
29.09  25
57.88  25
43.59  22

Atomic structure:
Unit cell a=12.4550 b=12.4550 c=3.9627 alpha=90.00 beta=90.00 gamma=160.81
Atoms (fractional coordinates):
Tb 0.0696 0.9304 0.7500
Tb 0.2028 0.7972 0.2500
Tb 0.7972 0.2028 0.7500
Tb 0.9304 0.0696 0.2500
Si 0.3229 0.6771 0.2500
Si 0.3809 0.6191 0.7500
Si 0.4754 0.5246 0.7500
Si 0.5246 0.4754 0.2500
Si 0.6191 0.3809 0.2500
Si 0.6771 0.3229 0.7500

No. 3
Starting from a DFT-relaxed cell (GGA-PBE, Alexandria), the powder diffraction line list of SbHO was calculated for CuKα.
Peak positions follow from Bragg's law for the DFT cell and can differ from measured ones.

Main lines, by intensity (5 to 70 degrees two-theta):
2theta  intensity
22.86  100
27.07  76
31.83  75
20.59  74
25.25  67
25.94  64
37.53  63
33.76  50

Atomic structure:
Unit cell a=4.8711 b=4.8774 c=5.3047 alpha=72.63 beta=85.61 gamma=67.62
Atoms (fractional coordinates):
Sb 0.0000 0.0000 0.0000
Sb 0.3515 0.2848 0.5991
H 0.3060 0.0635 0.4087
H 0.7108 0.5844 0.9277
O 0.6796 0.3913 0.0360
O 0.7384 0.9273 0.7675

No. 4
Starting from a DFT-relaxed cell (GGA-PBE, Alexandria), the powder diffraction line list of TbSi2Ni10 was calculated for CuKα.
Peak positions follow from Bragg's law for the DFT cell and can differ from measured ones.

Main lines, by intensity (5 to 70 degrees two-theta):
2theta  intensity
44.32  100
44.60  34
38.18  33
31.01  20
38.47  15
50.13  15
49.86  11
34.65  10

Atomic structure:
Unit cell a=8.1861 b=8.1861 c=4.6806 alpha=90.00 beta=90.00 gamma=90.00
Atoms (fractional coordinates):
Tb 0.2500 0.2500 0.2203
Tb 0.7500 0.7500 0.7797
Si 0.0000 0.0000 0.5000
Si 0.0000 0.5000 0.5000
Si 0.5000 0.0000 0.5000
Si 0.5000 0.5000 0.5000
Ni 0.0000 0.0000 0.0000
Ni 0.0000 0.5000 0.0000
Ni 0.0257 0.2500 0.7283
Ni 0.1031 0.7500 0.7617
Ni 0.2500 0.0257 0.7283
Ni 0.2500 0.4743 0.7283
Ni 0.2500 0.6031 0.2383
Ni 0.2500 0.8969 0.2383
Ni 0.3969 0.7500 0.7617
Ni 0.4743 0.2500 0.7283
Ni 0.5000 0.0000 0.0000
Ni 0.5000 0.5000 0.0000
Ni 0.5257 0.7500 0.2717
Ni 0.6031 0.2500 0.2383
Ni 0.7500 0.1031 0.7617
Ni 0.7500 0.3969 0.7617
Ni 0.7500 0.5257 0.2717
Ni 0.7500 0.9743 0.2717
Ni 0.8969 0.2500 0.2383
Ni 0.9743 0.7500 0.2717